Entry 1:
Theoretical X-ray powder pattern
Compound: Ca2Pm5Os2
Radiation: Cu Kα
Structure: a DFT-relaxed cell (PBE, Alexandria)
Kinematic intensities with the Lorentz-polarization factor, no thermal factor.

Peak list (10 most intense, 2θ from 15° to 90°, low angle first)
| d (Å) | two_theta | Rel. int. |
| --- | --- | --- |
| 3.087 | 28.92 | 34 |
| 3.045 | 29.33 | 27 |
| 2.838 | 31.52 | 70 |
| 2.598 | 34.52 | 78 |
| 2.468 | 36.40 | 100 |
| 2.369 | 37.98 | 55 |
| 2.167 | 41.68 | 25 |
| 1.924 | 47.25 | 23 |
| 1.846 | 49.37 | 22 |
| 1.621 | 56.78 | 27 |

Structural model:
```
Ca2Pm5Os2
1.0
9.618 -3.928 0.000
9.618 3.928 0.000
0.000 0.000 7.882
Ca Pm Os
4 10 4
Cartesian
4.395 0.000 0.000
5.224 0.000 3.941
14.013 0.000 3.941
14.842 0.000 0.000
0.000 0.000 0.000
7.796 2.657 5.218
7.796 1.272 1.277
11.441 2.657 5.218
11.441 1.272 1.277
9.618 0.000 3.941
7.796 -1.272 6.604
7.796 -2.657 2.664
11.441 -1.272 6.604
11.441 -2.657 2.664
9.618 2.832 2.839
9.618 1.097 6.780
9.618 -1.097 1.101
9.618 -2.832 5.042
```

***

Entry 2:
Theoretical X-ray powder pattern
Compound: Sm2ZrH8
Radiation: Cu Kα
Structure: a DFT-relaxed cell (PBE, Alexandria)
Kinematic intensities with the Lorentz-polarization factor, no thermal factor.

Peak list (10 most intense, 2θ from 15° to 90°, low angle first)
| d (Å) | two_theta | Rel. int. |
| --- | --- | --- |
| 3.029 | 29.49 | 100 |
| 2.933 | 30.48 | 91 |
| 2.720 | 32.93 | 73 |
| 2.357 | 38.19 | 25 |
| 1.977 | 45.90 | 15 |
| 1.874 | 48.59 | 13 |
| 1.781 | 51.30 | 44 |
| 1.639 | 56.10 | 33 |
| 1.593 | 57.87 | 30 |
| 1.178 | 81.76 | 14 |

Structural model:
```
Sm2ZrH8
1.0
-1.874 2.357 5.931
1.874 -2.357 5.931
1.874 2.357 -5.931
Sm Zr H
2 1 8
Cartesian
0.000 0.000 1.998
0.000 0.000 9.864
0.000 0.000 5.931
1.874 1.204 -1.664
0.000 1.257 0.000
1.874 0.000 3.469
1.874 1.204 1.664
0.000 1.153 4.267
0.000 2.357 2.462
0.000 3.456 0.000
0.000 1.153 7.595
```

***

Entry 3:
Theoretical X-ray powder pattern
Compound: Pm4CuRh2
Radiation: Cu Kα
Structure: a DFT-relaxed cell (PBE, Alexandria)
Kinematic intensities with the Lorentz-polarization factor, no thermal factor.

Peak list (10 most intense, 2θ from 15° to 90°, low angle first)
| d (Å) | two_theta | Rel. int. |
| --- | --- | --- |
| 3.436 | 25.93 | 55 |
| 2.807 | 31.88 | 100 |
| 2.783 | 32.16 | 100 |
| 2.667 | 33.60 | 68 |
| 2.264 | 39.81 | 59 |
| 2.246 | 40.14 | 60 |
| 2.228 | 40.50 | 55 |
| 1.895 | 48.02 | 37 |
| 1.718 | 53.32 | 35 |
| 1.448 | 64.33 | 28 |

Structural model:
```
Pm4CuRh2
1.0
5.700 -4.493 0.000
5.700 4.493 0.000
-2.674 0.000 7.092
Pm Cu Rh
8 2 4
Cartesian
0.000 0.000 0.000
-1.286 0.000 3.478
7.315 2.355 2.540
6.054 2.312 6.103
4.347 0.000 3.422
5.690 0.000 0.045
7.315 -2.355 2.540
6.054 -2.312 6.103
7.207 0.000 4.497
8.578 0.000 0.955
4.559 2.300 1.560
2.732 0.000 0.828
1.508 0.000 4.575
4.559 -2.300 1.560
```

***

Entry 4:
Theoretical X-ray powder pattern
Compound: TlHgBrO2
Radiation: Cu Kα
Structure: a DFT-relaxed cell (PBE, Alexandria)
Kinematic intensities with the Lorentz-polarization factor, no thermal factor.

Peak list (10 most intense, 2θ from 15° to 90°, low angle first)
| d (Å) | two_theta | Rel. int. |
| --- | --- | --- |
| 3.724 | 23.89 | 22 |
| 3.541 | 25.15 | 100 |
| 3.219 | 27.71 | 23 |
| 2.967 | 30.12 | 43 |
| 2.753 | 32.52 | 33 |
| 2.723 | 32.89 | 38 |
| 2.576 | 34.82 | 35 |
| 2.174 | 41.53 | 24 |
| 2.072 | 43.70 | 25 |
| 1.960 | 46.33 | 20 |

Structural model:
```
TlHgBrO2
1.0
6.836 0.000 0.000
0.000 4.143 0.000
-0.387 0.000 8.501
Tl Hg Br O
2 2 2 4
Cartesian
0.252 1.036 2.978
6.197 3.107 5.523
0.982 1.036 7.866
5.467 3.107 0.635
2.753 1.036 1.891
3.696 3.107 6.610
0.187 1.036 5.232
0.359 3.107 7.548
6.091 1.036 0.953
6.262 3.107 3.269
```

***

- What is the formula in the third record?
  Pm4CuRh2